[1]
Starting from a PBE-relaxed structure, the powder diffractogram of Tb2ErCu was calculated for Cu Kα X-rays.
Peak positions follow from Bragg's law for the DFT cell and can differ from measured ones.

Most intense lines, 15 to 90 degrees two-theta, in order of rising 2θ:
29.60 deg, I 54
30.84 deg, I 100
31.92 deg, I 25
33.34 deg, I 19
36.71 deg, I 38
38.12 deg, I 20
39.34 deg, I 25
57.39 deg, I 25

Crystal structure
Unit cell a=4.8965 b=11.4984 c=7.5772 alpha=90.00 beta=90.00 gamma=90.00
Fractional positions:
1 Tb 0.0000 0.1468 0.0317
2 Tb 0.0000 0.1468 0.4683
3 Tb 0.0000 0.8532 0.5317
4 Tb 0.0000 0.8532 0.9683
5 Tb 0.5000 0.3532 0.5317
6 Tb 0.5000 0.3532 0.9683
7 Tb 0.5000 0.6468 0.0317
8 Tb 0.5000 0.6468 0.4683
9 Er 0.0000 0.4563 0.2500
10 Er 0.0000 0.5437 0.7500
11 Er 0.5000 0.0437 0.7500
12 Er 0.5000 0.9563 0.2500
13 Cu 0.0000 0.2991 0.7500
14 Cu 0.0000 0.7009 0.2500
15 Cu 0.5000 0.2009 0.2500
16 Cu 0.5000 0.7991 0.7500



[2]
Starting from a PBE-relaxed structure, the powder diffractogram of ZrTi2Tc3 was calculated for Cu Kα X-rays.
Peak positions follow from Bragg's law for the DFT cell and can differ from measured ones.

Most intense lines, 15 to 90 degrees two-theta, in order of rising 2θ:
28.15 deg, I 7
33.99 deg, I 3
40.23 deg, I 100
58.12 deg, I 5
58.24 deg, I 11
73.11 deg, I 31
86.87 deg, I 6
86.97 deg, I 3

Crystal structure
Unit cell a=3.1685 b=3.1685 c=9.5231 alpha=90.00 beta=90.00 gamma=90.00
Fractional positions:
1 Zr 0.0000 0.0000 0.0000
2 Ti 0.0000 0.0000 0.3389
3 Ti 0.0000 0.0000 0.6611
4 Tc 0.5000 0.5000 0.1797
5 Tc 0.5000 0.5000 0.5000
6 Tc 0.5000 0.5000 0.8203



[3]
Starting from a PBE-relaxed structure, the powder diffractogram of Hf6TcBi3 was calculated for Cu Kα X-rays.
Peak positions follow from Bragg's law for the DFT cell and can differ from measured ones.

Most intense lines, 15 to 90 degrees two-theta, in order of rising 2θ:
30.24 deg, I 48
32.87 deg, I 100
33.33 deg, I 95
33.79 deg, I 94
35.15 deg, I 44
38.23 deg, I 69
39.03 deg, I 76
40.38 deg, I 43

Crystal structure
Unit cell a=7.0293 b=7.4971 c=11.2741 alpha=90.00 beta=125.03 gamma=90.00
Fractional positions:
1 Hf 0.0044 0.0839 0.2442
2 Hf 0.0044 0.4161 0.7442
3 Hf 0.1687 0.6894 0.0404
4 Hf 0.1687 0.8106 0.5404
5 Hf 0.3622 0.1423 0.0342
6 Hf 0.3622 0.3577 0.5342
7 Hf 0.6378 0.6423 0.4658
8 Hf 0.6378 0.8577 0.9658
9 Hf 0.8313 0.1894 0.4596
10 Hf 0.8313 0.3106 0.9596
11 Hf 0.9956 0.5839 0.2558
12 Hf 0.9956 0.9161 0.7558
13 Tc 0.0000 0.0000 0.0000
14 Tc 0.0000 0.5000 0.5000
15 Bi 0.3377 0.1367 0.7460
16 Bi 0.3377 0.3633 0.2460
17 Bi 0.5000 0.0000 0.5000
18 Bi 0.5000 0.5000 0.0000
19 Bi 0.6623 0.6367 0.7540
20 Bi 0.6623 0.8633 0.2540



[4]
Starting from a PBE-relaxed structure, the powder diffractogram of Nd4Sm3Th was calculated for Cu Kα X-rays.
Peak positions follow from Bragg's law for the DFT cell and can differ from measured ones.

Most intense lines, 15 to 90 degrees two-theta, in order of rising 2θ:
29.10 deg, I 37
30.31 deg, I 33
31.99 deg, I 100
36.36 deg, I 19
49.69 deg, I 25
54.96 deg, I 12
59.36 deg, I 20
60.35 deg, I 11

Crystal structure
Unit cell a=24.4196 b=3.6664 c=6.3618 alpha=90.00 beta=104.97 gamma=90.00
Fractional positions:
1 Nd 0.1235 0.0000 0.4524
2 Nd 0.2494 0.5000 0.7490
3 Nd 0.2506 0.0000 0.2510
4 Nd 0.3765 0.5000 0.5476
5 Nd 0.6235 0.5000 0.4524
6 Nd 0.7494 0.0000 0.7490
7 Nd 0.7506 0.5000 0.2510
8 Nd 0.8765 0.0000 0.5476
9 Sm 0.0000 0.5000 0.5000
10 Sm 0.1220 0.5000 0.9576
11 Sm 0.3780 0.0000 0.0424
12 Sm 0.5000 0.0000 0.5000
13 Sm 0.6220 0.0000 0.9576
14 Sm 0.8780 0.5000 0.0424
15 Th 0.0000 0.0000 0.0000
16 Th 0.5000 0.5000 0.0000



[5]
Starting from a PBE-relaxed structure, the powder diffractogram of Pm2Pr12Ho was calculated for Cu Kα X-rays.
Peak positions follow from Bragg's law for the DFT cell and can differ from measured ones.

Most intense lines, 15 to 90 degrees two-theta, in order of rising 2θ:
27.69 deg, I 43
28.78 deg, I 29
30.24 deg, I 38
30.85 deg, I 100
31.29 deg, I 31
33.16 deg, I 26
38.25 deg, I 31
54.11 deg, I 26

Crystal structure
Unit cell a=6.6557 b=6.6557 c=25.7285 alpha=90.00 beta=90.00 gamma=90.00
Fractional positions:
1 Pm 0.2500 0.7500 0.2326
2 Pm 0.2500 0.7500 0.7674
3 Pm 0.7500 0.2500 0.2326
4 Pm 0.7500 0.2500 0.7674
5 Pr 0.0654 0.5654 0.3876
6 Pr 0.0654 0.9346 0.6124
7 Pr 0.0821 0.5821 0.9375
8 Pr 0.0821 0.9179 0.0625
9 Pr 0.2500 0.2500 0.1632
10 Pr 0.2500 0.2500 0.2864
11 Pr 0.2500 0.2500 0.7136
12 Pr 0.2500 0.2500 0.8368
13 Pr 0.4179 0.5821 0.0625
14 Pr 0.4179 0.9179 0.9375
15 Pr 0.4346 0.5654 0.6124
16 Pr 0.4346 0.9346 0.3876
17 Pr 0.5654 0.0654 0.6124
18 Pr 0.5654 0.4346 0.3876
19 Pr 0.5821 0.0821 0.0625
20 Pr 0.5821 0.4179 0.9375
21 Pr 0.7500 0.7500 0.1632
22 Pr 0.7500 0.7500 0.2864
23 Pr 0.7500 0.7500 0.7136
24 Pr 0.7500 0.7500 0.8368
25 Pr 0.9179 0.0821 0.9375
26 Pr 0.9179 0.4179 0.0625
27 Pr 0.9346 0.0654 0.3876
28 Pr 0.9346 0.4346 0.6124
29 Ho 0.2500 0.7500 0.5000
30 Ho 0.7500 0.2500 0.5000



[6]
Starting from a PBE-relaxed structure, the powder diffractogram of Zr3Cu4Si2 was calculated for Cu Kα X-rays.
Peak positions follow from Bragg's law for the DFT cell and can differ from measured ones.

Most intense lines, 15 to 90 degrees two-theta, in order of rising 2θ:
35.99 deg, I 100
39.62 deg, I 88
43.25 deg, I 44
45.40 deg, I 31
49.40 deg, I 17
64.50 deg, I 25
65.10 deg, I 19
79.15 deg, I 21

Crystal structure
Unit cell a=6.3905 b=6.3905 c=3.9955 alpha=90.00 beta=90.00 gamma=120.00
Fractional positions:
1 Zr 0.0000 0.5880 0.0000
2 Zr 0.4120 0.4120 0.0000
3 Zr 0.5880 0.0000 0.0000
4 Cu 0.0000 0.0000 0.0000
5 Cu 0.0000 0.2470 0.5000
6 Cu 0.2470 0.0000 0.5000
7 Cu 0.7530 0.7530 0.5000
8 Si 0.3333 0.6667 0.5000
9 Si 0.6667 0.3333 0.5000



[7]
Starting from a PBE-relaxed structure, the powder diffractogram of Dy5Al2Sn2 was calculated for Cu Kα X-rays.
Peak positions follow from Bragg's law for the DFT cell and can differ from measured ones.

Most intense lines, 15 to 90 degrees two-theta, in order of rising 2θ:
24.82 deg, I 70
30.51 deg, I 90
31.71 deg, I 92
32.02 deg, I 100
32.27 deg, I 92
32.89 deg, I 71
34.01 deg, I 81
35.81 deg, I 61

Crystal structure
Unit cell a=8.7528 b=8.7528 c=7.9191 alpha=90.00 beta=90.00 gamma=54.73
Fractional positions:
1 Dy 0.0000 0.0000 0.0000
2 Dy 0.0426 0.6855 0.6755
3 Dy 0.1855 0.5426 0.1755
4 Dy 0.3145 0.9574 0.6755
5 Dy 0.4574 0.8145 0.1755
6 Dy 0.5000 0.5000 0.5000
7 Dy 0.5426 0.1855 0.8245
8 Dy 0.6855 0.0426 0.3245
9 Dy 0.8145 0.4574 0.8245
10 Dy 0.9574 0.3145 0.3245
11 Al 0.1175 0.8825 0.3817
12 Al 0.3825 0.6175 0.8817
13 Al 0.6175 0.3825 0.1183
14 Al 0.8825 0.1175 0.6183
15 Sn 0.2091 0.2091 0.0000
16 Sn 0.2909 0.2909 0.5000
17 Sn 0.7091 0.7091 0.5000
18 Sn 0.7909 0.7909 0.0000



[8]
Starting from a PBE-relaxed structure, the powder diffractogram of SmB4Rh7 was calculated for Cu Kα X-rays.
Peak positions follow from Bragg's law for the DFT cell and can differ from measured ones.

Most intense lines, 15 to 90 degrees two-theta, in order of rising 2θ:
30.78 deg, I 9
36.10 deg, I 59
37.32 deg, I 100
45.12 deg, I 38
49.10 deg, I 12
59.91 deg, I 18
67.37 deg, I 12
76.59 deg, I 24

Crystal structure
Unit cell a=2.9052 b=5.5733 c=9.6221 alpha=90.00 beta=90.00 gamma=90.00
Fractional positions:
1 Sm 0.0000 0.0000 0.0000
2 B 0.0000 0.0000 0.3311
3 B 0.0000 0.0000 0.6689
4 B 0.0000 0.5000 0.1654
5 B 0.0000 0.5000 0.8346
6 Rh 0.0000 0.5000 0.5000
7 Rh 0.5000 0.0000 0.5000
8 Rh 0.5000 0.2570 0.2583
9 Rh 0.5000 0.2570 0.7417
10 Rh 0.5000 0.5000 0.0000
11 Rh 0.5000 0.7430 0.2583
12 Rh 0.5000 0.7430 0.7417



[9]
Starting from a PBE-relaxed structure, the powder diffractogram of NaInBiPb2 was calculated for Cu Kα X-rays.
Peak positions follow from Bragg's law for the DFT cell and can differ from measured ones.

Most intense lines, 15 to 90 degrees two-theta, in order of rising 2θ:
19.01 deg, I 52
28.42 deg, I 100
35.84 deg, I 74
36.12 deg, I 18
36.41 deg, I 52
53.25 deg, I 24
60.72 deg, I 24
65.15 deg, I 26

Crystal structure
Unit cell a=7.9968 b=7.9968 c=6.9875 alpha=90.00 beta=90.00 gamma=128.30
Fractional positions:
1 Na 0.2343 0.7657 0.7500
2 Na 0.7657 0.2343 0.2500
3 In 0.1318 0.8682 0.2500
4 In 0.8682 0.1318 0.7500
5 Bi 0.3376 0.6624 0.2500
6 Bi 0.6624 0.3376 0.7500
7 Pb 0.2600 0.2600 0.0000
8 Pb 0.2600 0.2600 0.5000
9 Pb 0.7400 0.7400 0.0000
10 Pb 0.7400 0.7400 0.5000



[10]
Starting from a PBE-relaxed structure, the powder diffractogram of SrCd3Ag3 was calculated for Cu Kα X-rays.
Peak positions follow from Bragg's law for the DFT cell and can differ from measured ones.

Most intense lines, 15 to 90 degrees two-theta, in order of rising 2θ:
29.94 deg, I 9
31.25 deg, I 22
36.45 deg, I 100
37.06 deg, I 25
49.24 deg, I 12
55.62 deg, I 10
66.40 deg, I 16
68.74 deg, I 10

Crystal structure
Unit cell a=8.7385 b=4.8514 c=8.7446 alpha=90.00 beta=119.96 gamma=90.00
Fractional positions:
1 Sr 0.1667 0.2500 0.3331
2 Sr 0.8333 0.7500 0.6669
3 Cd 0.2637 0.2500 0.9879
4 Cd 0.2756 0.7500 0.7637
5 Cd 0.4882 0.7500 0.2246
6 Cd 0.5118 0.2500 0.7754
7 Cd 0.7244 0.2500 0.2363
8 Cd 0.7363 0.7500 0.0121
9 Ag 0.0489 0.2500 0.6114
10 Ag 0.1116 0.7500 0.0624
11 Ag 0.4372 0.7500 0.5488
12 Ag 0.5628 0.2500 0.4512
13 Ag 0.8884 0.2500 0.9376
14 Ag 0.9511 0.7500 0.3886



[11]
Starting from a PBE-relaxed structure, the powder diffractogram of LiHS was calculated for Cu Kα X-rays.
Peak positions follow from Bragg's law for the DFT cell and can differ from measured ones.

Most intense lines, 15 to 90 degrees two-theta, in order of rising 2θ:
26.79 deg, I 100
28.88 deg, I 16
43.42 deg, I 14
43.96 deg, I 14
45.98 deg, I 13
49.92 deg, I 14
53.55 deg, I 10
54.48 deg, I 10

Crystal structure
Unit cell a=6.1827 b=5.6445 c=5.5236 alpha=90.00 beta=90.00 gamma=90.00
Fractional positions:
1 Li 0.0000 0.0000 0.0000
2 Li 0.0000 0.5000 0.5000
3 Li 0.5000 0.0000 0.0000
4 Li 0.5000 0.5000 0.5000
5 H 0.2500 0.0730 0.4426
6 H 0.2500 0.5730 0.9426
7 H 0.7500 0.4270 0.9426
8 H 0.7500 0.9270 0.4426
9 S 0.2500 0.2375 0.2649
10 S 0.2500 0.7375 0.7649
11 S 0.7500 0.2625 0.7649
12 S 0.7500 0.7625 0.2649



[12]
Starting from a PBE-relaxed structure, the powder diffractogram of Ac2Pr2Rh was calculated for Cu Kα X-rays.
Peak positions follow from Bragg's law for the DFT cell and can differ from measured ones.

Most intense lines, 15 to 90 degrees two-theta, in order of rising 2θ:
25.15 deg, I 51
27.40 deg, I 26
31.88 deg, I 100
34.47 deg, I 57
42.53 deg, I 24
44.58 deg, I 29
49.54 deg, I 21
60.13 deg, I 33

Crystal structure
Unit cell a=13.5289 b=13.5289 c=13.5289 alpha=157.82 beta=157.82 gamma=31.57
Fractional positions:
1 Ac 0.0593 0.3093 0.7500
2 Ac 0.3093 0.0593 0.2500
3 Ac 0.6907 0.9407 0.7500
4 Ac 0.9407 0.6907 0.2500
5 Pr 0.1949 0.4449 0.7500
6 Pr 0.4449 0.1949 0.2500
7 Pr 0.5551 0.8051 0.7500
8 Pr 0.8051 0.5551 0.2500
9 Rh 0.1250 0.8750 0.2500
10 Rh 0.8750 0.1250 0.7500



[13]
Starting from a PBE-relaxed structure, the powder diffractogram of Ce2DyHo3As6 was calculated for Cu Kα X-rays.
Peak positions follow from Bragg's law for the DFT cell and can differ from measured ones.

Most intense lines, 15 to 90 degrees two-theta, in order of rising 2θ:
26.36 deg, I 21
30.53 deg, I 100
43.72 deg, I 75
51.77 deg, I 9
54.26 deg, I 26
63.54 deg, I 12
72.11 deg, I 28
80.28 deg, I 19

Crystal structure
Unit cell a=9.2509 b=9.2509 c=8.2806 alpha=102.84 beta=102.84 gamma=25.89
Fractional positions:
1 Ce 0.1657 0.1657 0.3316
2 Ce 0.8343 0.8343 0.6684
3 Dy 0.5000 0.5000 0.0000
4 Ho 0.1664 0.1664 0.8343
5 Ho 0.5000 0.5000 0.5000
6 Ho 0.8336 0.8336 0.1657
7 As 0.0012 0.0012 0.7498
8 As 0.3333 0.3333 0.9202
9 As 0.3344 0.3344 0.4136
10 As 0.6656 0.6656 0.5864
11 As 0.6667 0.6667 0.0798
12 As 0.9988 0.9988 0.2502